# 1
# Pm2NdDy7
Simulated X-ray diffraction stick pattern, Cu Kα X-rays. Input: a crystal structure in Alexandria, relaxed with PBE.
No peak broadening, texture or thermal motion is included.

Principal peaks in the range 2θ = 10–80°, by intensity:
32.82 deg, I 100
30.92 deg, I 83
33.11 deg, I 73
30.00 deg, I 71
29.02 deg, I 44
31.51 deg, I 38
39.68 deg, I 34
40.41 deg, I 27
61.26 deg, I 26
51.85 deg, I 25
25.36 deg, I 24
63.11 deg, I 23

```
Pm2NdDy7
1.0
3.2683 -14.4667 0.0000
3.2683 14.4667 0.0000
0.0000 0.0000 3.5123
Pm Nd Dy
2 1 7
direct
0.2072 0.7928 0.0000
0.7928 0.2072 0.0000
0.5000 0.5000 0.5000
0.0000 0.0000 0.0000
0.1532 0.3514 0.0000
0.3139 0.6861 0.5000
0.3514 0.1532 0.0000
0.6486 0.8468 0.0000
0.6861 0.3139 0.5000
0.8468 0.6486 0.0000
```

# 2
# PmNd8Dy3
Simulated X-ray diffraction stick pattern, Cu Kα X-rays. Input: a crystal structure in Alexandria, relaxed with PBE.
No peak broadening, texture or thermal motion is included.

Principal peaks in the range 2θ = 10–80°, by intensity:
30.06 deg, I 100
34.87 deg, I 45
29.99 deg, I 34
50.03 deg, I 32
34.73 deg, I 23
59.48 deg, I 19
59.59 deg, I 19
59.36 deg, I 14
62.37 deg, I 8
62.50 deg, I 8
50.07 deg, I 8
50.22 deg, I 8

```
PmNd8Dy3
1.0
6.2978 0.0000 0.0000
-1.0445 6.2258 0.0000
-0.0343 -3.1676 10.4666
Pm Nd Dy
1 8 3
direct
0.0000 0.0000 0.0000
0.0009 0.0022 0.3358
0.2496 0.5043 0.5871
0.2512 0.5024 0.2504
0.2518 0.5012 0.9174
0.5005 0.0063 0.5049
0.5019 0.0051 0.8354
0.5029 0.0030 0.1678
0.7509 0.5052 0.4198
0.7523 0.5022 0.0834
0.7526 0.5048 0.7532
0.9990 0.0038 0.6700
```

# 3
# PmNd2Dy9
Simulated X-ray diffraction stick pattern, Cu Kα X-rays. Input: a crystal structure in Alexandria, relaxed with PBE.
No peak broadening, texture or thermal motion is included.

Principal peaks in the range 2θ = 10–80°, by intensity:
31.65 deg, I 100
31.33 deg, I 55
62.21 deg, I 30
29.94 deg, I 24
56.17 deg, I 20
45.13 deg, I 20
56.36 deg, I 18
35.22 deg, I 16
37.61 deg, I 13
66.10 deg, I 11
49.95 deg, I 11
52.05 deg, I 9

```
PmNd2Dy9
1.0
11.3092 0.0000 0.0000
-5.6546 9.7940 0.0000
0.0000 0.0000 3.5138
Pm Nd Dy
1 2 9
direct
0.0000 0.0000 0.0000
0.3333 0.6667 0.0000
0.6667 0.3333 0.0000
0.0000 0.5000 0.0000
0.1749 0.3498 0.5000
0.1749 0.8251 0.5000
0.3498 0.1749 0.5000
0.5000 0.0000 0.0000
0.5000 0.5000 0.0000
0.6502 0.8251 0.5000
0.8251 0.1749 0.5000
0.8251 0.6502 0.5000
```